# 1
Starting from the GGA-PBE geometry in the Materials Project, the powder X-ray diffraction pattern of NiS2 was calculated for CuKα.
No peak broadening, texture or thermal motion is included.

The 12 most intense peaks (2θ = 10–90°), low angle first:
28.09 deg, intensity 100.0; 30.88 deg, intensity 29.9; 36.94 deg, intensity 44.2; 37.92 deg, intensity 51.3; 46.20 deg, intensity 12.9; 50.24 deg, intensity 35.2; 51.51 deg, intensity 34.0; 52.46 deg, intensity 31.7; 55.41 deg, intensity 16.3; 56.11 deg, intensity 10.8; 63.77 deg, intensity 16.3; 78.63 deg, intensity 11.1

Cell and atoms:
a b c (Å): 4.4893 6.5568 6.1795
angles (deg): 90.00 90.00 90.00
Space group Pbcn (No. 60)
One atom of each set of equivalent atoms:
1 Ni 0.0000 0.1404 0.2500 [4 per cell]
2 S 0.1913 0.4122 0.0452 [8 per cell]

# 2
Starting from the GGA-PBE geometry in the Materials Project, the powder X-ray diffraction pattern of Li2BiO2 was calculated for CuKα.
No peak broadening, texture or thermal motion is included.

The 12 most intense peaks (2θ = 10–90°), low angle first:
16.19 deg, intensity 97.1; 26.16 deg, intensity 100.0; 27.50 deg, intensity 60.6; 32.71 deg, intensity 21.0; 35.09 deg, intensity 30.2; 36.12 deg, intensity 52.3; 36.45 deg, intensity 28.9; 40.12 deg, intensity 58.5; 48.72 deg, intensity 16.5; 49.77 deg, intensity 39.3; 60.97 deg, intensity 19.1; 64.05 deg, intensity 19.2

Cell and atoms:
a b c (Å): 3.3962 3.5835 10.9522
angles (deg): 90.00 90.00 90.00
Space group Immm (No. 71)
One atom of each set of equivalent atoms:
1 Li 0.0000 0.0000 0.2235 [4 per cell]
2 Bi 0.0000 0.0000 0.5000 [2 per cell]
3 O 0.0000 0.5000 0.1591 [4 per cell]

# 3
Starting from the GGA-PBE geometry in the Materials Project, the powder X-ray diffraction pattern of SiO2 was calculated for CuKα.
No peak broadening, texture or thermal motion is included.

The 11 most intense peaks (2θ = 10–90°), low angle first:
20.62 deg, intensity 100.0; 33.99 deg, intensity 21.8; 40.08 deg, intensity 0.5; 41.95 deg, intensity 9.7; 53.54 deg, intensity 16.4; 60.82 deg, intensity 7.6; 64.95 deg, intensity 0.5; 71.54 deg, intensity 8.2; 75.37 deg, intensity 10.4; 81.61 deg, intensity 3.4; 86.53 deg, intensity 1.8

Cell and atoms:
a b c (Å): 7.4609 7.4609 7.4609
angles (deg): 90.00 90.00 90.00
Space group Fd-3m (No. 227, origin choice 2)
One atom of each set of equivalent atoms:
1 Si 0.1250 0.1250 0.1250 [8 per cell]
2 O 0.0000 0.0000 0.0000 [16 per cell]

# 4
Starting from the GGA-PBE geometry in the Materials Project, the powder X-ray diffraction pattern of CsMg16Al12 was calculated for CuKα.
No peak broadening, texture or thermal motion is included.

The 12 most intense peaks (2θ = 10–90°), low angle first:
11.69 deg, intensity 26.0; 20.32 deg, intensity 14.5; 26.33 deg, intensity 10.5; 31.26 deg, intensity 19.6; 35.58 deg, intensity 100.0; 39.48 deg, intensity 21.5; 41.32 deg, intensity 15.1; 46.46 deg, intensity 7.4; 52.71 deg, intensity 7.1; 61.22 deg, intensity 15.4; 63.90 deg, intensity 26.3; 76.56 deg, intensity 7.8

Cell and atoms:
a b c (Å): 10.7050 10.7050 10.7050
angles (deg): 90.00 90.00 90.00
Space group I-43m (No. 217)
One atom of each set of equivalent atoms:
1 Cs 0.0000 0.0000 0.0000 [2 per cell]
2 Mg 0.0412 0.3591 0.3591 [24 per cell]
3 Mg 0.1819 0.1819 0.8181 [8 per cell]
4 Al 0.0939 0.0939 0.2837 [24 per cell]